# 1
Li2TlCuCl4: calculated powder diffraction line list (Cu Kα), based on a crystal structure in Alexandria, relaxed with GGA-PBE.
Lines closer than 0.1° are merged.

Lattice parameters (Å, degrees): 3.791 13.141 14.179 90.00 90.00 90.00
Space group Cmcm (No. 63)
Inequivalent atoms, fractional coordinates:
Li  0.000  0.123  0.045 x8
Tl  0.000  0.380  0.250 x4
Cu  0.000  0.313  0.750 x4
Cl  0.000  0.072  0.250 x4
Cl  0.000  0.251  0.601 x8
Cl  0.000  0.500  0.000 x4

Main lines, in order of rising 2θ (2θ from 10° to 90°):
(0 0 2), d = 7.089 Å, 2θ = 12.49°, intensity 100
(0 2 1), d = 5.962 Å, 2θ = 14.86°, intensity 31
(0 0 4), d = 3.545 Å, 2θ = 25.12°, intensity 30
(0 4 2), d = 2.981 Å, 2θ = 29.98°, intensity 31
(1 3 1), d = 2.810 Å, 2θ = 31.85°, intensity 54
(1 3 2), d = 2.658 Å, 2θ = 33.72°, intensity 41

***

# 2
Ce2Ho12Tm5: calculated powder diffraction line list (Cu Kα), based on a crystal structure in Alexandria, relaxed with GGA-PBE.
Lines closer than 0.1° are merged.

Lattice parameters (Å, degrees): 15.293 9.137 8.515 90.00 92.24 90.00
Space group C2/m (No. 12)
Inequivalent atoms, fractional coordinates:
Ce  0.000  0.149  0.000 x4
Ho  0.061  0.000  0.342 x4
Ho  0.069  0.500  0.871 x4
Ho  0.132  0.192  0.683 x8
Ho  0.146  0.321  0.237 x8
Tm  0.000  0.500  0.500 x2
Tm  0.213  0.000  0.038 x4
Tm  0.230  0.500  0.566 x4

Main lines, in order of rising 2θ (2θ from 10° to 90°):
(4 2 0), d = 2.931 Å, 2θ = 30.50°, intensity 49
(2 2 -2), d = 2.913 Å, 2θ = 30.70°, intensity 50
(1 3 1), d = 2.812 Å, 2θ = 31.83°, intensity 50
(4 0 2), d = 2.789 Å, 2θ = 32.09°, intensity 93
(5 1 -1), d = 2.775 Å, 2θ = 32.26°, intensity 100
(1 1 -3), d = 2.684 Å, 2θ = 33.38°, intensity 85

***

# 3
Dy2Sn5: calculated powder diffraction line list (Cu Kα), based on a crystal structure in Alexandria, relaxed with GGA-PBE.
Lines closer than 0.1° are merged.

Lattice parameters (Å, degrees): 4.364 4.453 19.138 90.00 90.00 90.00
Space group Pmmn (No. 59, origin choice 2)
Inequivalent atoms, fractional coordinates:
Dy  0.250  0.250  0.129 x2
Dy  0.250  0.750  0.701 x2
Sn  0.250  0.250  0.424 x2
Sn  0.250  0.250  0.577 x2
Sn  0.250  0.250  0.844 x2
Sn  0.250  0.750  0.002 x2
Sn  0.250  0.750  0.264 x2

Main lines, in order of rising 2θ (2θ from 10° to 90°):
(1 1 3), d = 2.800 Å, 2θ = 31.96°, intensity 97
(0 0 7), d = 2.734 Å, 2θ = 32.76°, intensity 47
(1 1 4), d = 2.612 Å, 2θ = 34.34°, intensity 100
(0 2 0), d = 2.227 Å, 2θ = 40.51°, intensity 41
(2 0 0), d = 2.182 Å, 2θ = 41.37°, intensity 34
(0 2 7), d = 1.726 Å, 2θ = 53.05°, intensity 25

***

# 4
TmLuCuRh: calculated powder diffraction line list (Cu Kα), based on a crystal structure in Alexandria, relaxed with GGA-PBE.
Lines closer than 0.1° are merged.

Lattice parameters (Å, degrees): 6.785 6.785 6.785 90.00 90.00 90.00
Space group F-43m (No. 216)
Inequivalent atoms, fractional coordinates:
Tm  0.000  0.000  0.000 x4
Lu  0.000  0.000  0.500 x4
Cu  0.250  0.250  0.750 x4
Rh  0.250  0.250  0.250 x4

Main lines, in order of rising 2θ (2θ from 10° to 90°):
(2 0 0), d = 3.392 Å, 2θ = 26.27°, intensity 13
(2 2 0), d = 2.399 Å, 2θ = 37.49°, intensity 100
(4 0 0), d = 1.696 Å, 2θ = 54.07°, intensity 17
(4 2 0), d = 1.517 Å, 2θ = 61.08°, intensity 5
(4 2 2), d = 1.385 Å, 2θ = 67.65°, intensity 35
(4 4 0), d = 1.199 Å, 2θ = 80.00°, intensity 11

***

# 5
Ca2H6Pd: calculated powder diffraction line list (Cu Kα), based on a crystal structure in Alexandria, relaxed with GGA-PBE.
Lines closer than 0.1° are merged.

Lattice parameters (Å, degrees): 3.673 3.673 13.206 90.00 90.00 90.00
Space group I4/mmm (No. 139)
Inequivalent atoms, fractional coordinates:
Ca  0.000  0.000  0.152 x4
H  0.000  0.000  0.372 x4
H  0.000  0.500  0.000 x4
H  0.000  0.500  0.250 x4
Pd  0.000  0.000  0.500 x2

Main lines, in order of rising 2θ (2θ from 10° to 90°):
(0 0 2), d = 6.603 Å, 2θ = 13.41°, intensity 35
(1 0 1), d = 3.539 Å, 2θ = 25.16°, intensity 19
(1 0 3), d = 2.820 Å, 2θ = 31.73°, intensity 100
(1 1 0), d = 2.598 Å, 2θ = 34.53°, intensity 41
(1 1 6), d = 1.679 Å, 2θ = 54.66°, intensity 19
(2 1 3), d = 1.539 Å, 2θ = 60.12°, intensity 30

***

# 6
Hf2Zr7Pa2: calculated powder diffraction line list (Cu Kα), based on a crystal structure in Alexandria, relaxed with GGA-PBE.
Lines closer than 0.1° are merged.

Lattice parameters (Å, degrees): 7.489 8.787 16.227 90.00 102.57 90.00
Space group C2/c (No. 15)
Inequivalent atoms, fractional coordinates:
Hf  0.121  0.027  0.185 x8
Zr  0.000  0.436  0.250 x4
Zr  0.143  0.484  0.949 x8
Zr  0.197  0.177  0.849 x8
Zr  0.235  0.312  0.648 x8
Pa  0.027  0.178  0.490 x8

Main lines, in order of rising 2θ (2θ from 10° to 90°):
(1 1 -6), d = 2.560 Å, 2θ = 35.06°, intensity 57
(1 3 2), d = 2.510 Å, 2θ = 35.78°, intensity 100
(2 2 -4), d = 2.497 Å, 2θ = 35.96°, intensity 55
(2 0 4), d = 2.435 Å, 2θ = 36.92°, intensity 52
(3 1 -2), d = 2.392 Å, 2θ = 37.60°, intensity 49
(1 3 -4), d = 2.332 Å, 2θ = 38.61°, intensity 40